The following is a theoretical powder diffraction line list of GdHoNO. It was derived from a DFT-relaxed cell (PBE, OQMD), using Cu Kα.
Intensities are scaled so that the largest is 100.

The 10 most intense peaks (2θ from 10° to 90°), sorted by position:
2θ (°)	I_rel
25.86	42.3
31.80	100.0
36.86	22.0
45.52	23.9
45.65	29.7
56.60	13.9
56.80	6.7
59.92	10.4
60.07	20.5
63.25	14.8

Structure:
Unit cell a=4.8769 b=3.9883 c=6.8744 alpha=90.00 beta=90.00 gamma=90.00
Space group Pmma (No. 51)
Unique sites:
Gd 0.2500 0.0000 0.1650
Ho 0.2500 0.5000 0.6677
N 0.2500 0.5000 0.3398
O 0.2500 0.0000 0.8185